Rb2NaGaBr6: theoretical X-ray diffraction stick pattern (Cu Kα, 1.54184 Å), based on a DFT-relaxed cell (PBE, the Materials Project).
Neutral-atom scattering factors, no anomalous dispersion.

abc: 7.7840 7.7840 7.7840
angles: 60.00 60.00 60.00
Element x y z (fractional)
Rb  0.2500  0.2500  0.2500
Rb  0.7500  0.7500  0.7500
Na  0.0000  0.0000  0.0000
Ga  0.5000  0.5000  0.5000
Br  0.2661  0.2661  0.7339
Br  0.2661  0.7339  0.2661
Br  0.2661  0.7339  0.7339
Br  0.7339  0.2661  0.2661
Br  0.7339  0.2661  0.7339
Br  0.7339  0.7339  0.2661

Peak list (6 most intense, 10° ≤ 2θ ≤ 90°, most intense first)
- 28.08 deg, 3.178 Å, intensity 100.0
- 32.54 deg, 2.752 Å, intensity 91.6
- 46.68 deg, 1.946 Å, intensity 62.7
- 55.36 deg, 1.660 Å, intensity 39.0
- 77.57 deg, 1.231 Å, intensity 24.8
- 58.05 deg, 1.589 Å, intensity 20.7